[1]
For ZnBr, a structure optimized by DFT (PBE) gives the computed XRD peak list in this record (Cu Kα).

Structure:
```
data_ZnBr
_symmetry_space_group_name_H-M 'F -4 3 m'
_symmetry_Int_Tables_number 216
_symmetry_space_group_name_Hall 'F -4 2 3'
_cell_length_a 6.4337
_cell_length_b 6.4337
_cell_length_c 6.4337
_cell_angle_alpha 90.00
_cell_angle_beta 90.00
_cell_angle_gamma 90.00
loop_
_atom_site_label
_atom_site_fract_x
_atom_site_fract_y
_atom_site_fract_z
_atom_site_occupancy
Zn1 0.0000 0.0000 0.0000 1
Br1 0.2500 0.2500 0.2500 1
```

Largest 6 diffraction maxima, low angle first, 10° ≤ 2θ ≤ 80°:
| 2θ (°) | d/Å | I (rel.) | (hkl) |
| --- | --- | --- | --- |
| 23.96 | 3.715 | 1000 | 1 1 1 |
| 39.62 | 2.275 | 778 | 2 2 0 |
| 46.83 | 1.940 | 477 | 3 1 1 |
| 62.97 | 1.476 | 190 | 3 3 1 |
| 71.89 | 1.313 | 253 | 4 2 2 |
| 77.02 | 1.238 | 140 | 5 1 1 |



[2]
For ZnBr2, a structure optimized by DFT (PBE) gives the computed XRD peak list in this record (Cu Kα).

Structure:
```
data_ZnBr2
_symmetry_space_group_name_H-M 'I b a m'
_symmetry_Int_Tables_number 72
_symmetry_space_group_name_Hall '-I 2 2c'
_cell_length_a 5.9099
_cell_length_b 11.0897
_cell_length_c 6.2220
_cell_angle_alpha 90.00
_cell_angle_beta 90.00
_cell_angle_gamma 90.00
loop_
_atom_site_label
_atom_site_fract_x
_atom_site_fract_y
_atom_site_fract_z
_atom_site_occupancy
Zn1 0.0000 0.0000 0.2500 1
Br1 0.2282 0.1221 0.0000 1
```

Largest 6 diffraction maxima, low angle first, 10° ≤ 2θ ≤ 80°:
| 2θ (°) | d/Å | I (rel.) | (hkl) |
| --- | --- | --- | --- |
| 15.98 | 5.545 | 184 | 0 2 0 |
| 17.00 | 5.216 | 411 | 1 1 0 |
| 26.28 | 3.391 | 1000 | 1 2 1 |
| 42.18 | 2.143 | 272 | 2 0 2 |
| 43.73 | 2.070 | 257 | 0 4 2 |
| 44.83 | 2.022 | 227 | 2 4 0 |